[1]
Structure and calculated powder diffractogram of Sn2PO5 (DFT lattice parameters and positions (GGA-PBE); Cu Kα X-rays).
Kinematic intensities with the Lorentz-polarization factor, no thermal factor.

Largest 10 diffraction maxima, low angle first, 2θ = 10–90°:
2θ 21.48, intensity 49; 2θ 23.13, intensity 55; 2θ 31.78, intensity 100; 2θ 32.95, intensity 34; 2θ 39.67, intensity 42; 2θ 47.29, intensity 27; 2θ 50.08, intensity 28; 2θ 55.85, intensity 23; 2θ 58.10, intensity 37; 2θ 71.33, intensity 19

Atomic structure:
a = 5.4372 Å, b = 5.4372 Å, c = 8.2731 Å
α = 90.00°, β = 90.00°, γ = 90.00°
Space group I4mm (No. 107)
One atom of each set of equivalent atoms:
Sn  0.0000  0.5000  0.0000 (multiplicity 4)
P  0.0000  0.0000  0.3135 (multiplicity 2)
O  0.0000  0.0000  0.1254 (multiplicity 2)
O  0.2131  0.2131  0.3694 (multiplicity 8)

[2]
Structure and calculated powder diffractogram of Sn2P5O15 (DFT lattice parameters and positions (GGA-PBE); Cu Kα X-rays).
Kinematic intensities with the Lorentz-polarization factor, no thermal factor.

Largest 10 diffraction maxima, low angle first, 2θ = 10–90°:
2θ 13.97, intensity 18; 2θ 17.60, intensity 23; 2θ 20.07, intensity 22; 2θ 23.41, intensity 19; 2θ 23.61, intensity 100; 2θ 26.00, intensity 28; 2θ 26.54, intensity 19; 2θ 33.02, intensity 22; 2θ 33.82, intensity 18; 2θ 43.91, intensity 18

Atomic structure:
a = 5.4711 Å, b = 9.3479 Å, c = 13.7690 Å
α = 90.00°, β = 112.92°, γ = 90.00°
Space group Pc (No. 7)
One atom of each set of equivalent atoms:
Sn  0.0000  0.2114  0.0000 (multiplicity 2)
Sn  0.9265  0.2146  0.6506 (multiplicity 2)
P  0.2734  0.3064  0.4930 (multiplicity 2)
P  0.3723  0.0179  0.4166 (multiplicity 2)
P  0.4542  0.0303  0.2160 (multiplicity 2)
P  0.6480  0.3011  0.1594 (multiplicity 2)
P  0.9578  0.4894  0.8236 (multiplicity 2)
O  0.0556  0.4095  0.7515 (multiplicity 2)
O  0.0835  0.3333  0.5450 (multiplicity 2)
O  0.1857  0.3964  0.3846 (multiplicity 2)
O  0.1916  0.1120  0.8958 (multiplicity 2)
O  0.2158  0.0460  0.1123 (multiplicity 2)
O  0.2222  0.1446  0.4492 (multiplicity 2)
O  0.3552  0.0841  0.3058 (multiplicity 2)
O  0.3685  0.3268  0.0805 (multiplicity 2)
O  0.5647  0.3333  0.5523 (multiplicity 2)
O  0.5830  0.1125  0.7410 (multiplicity 2)
O  0.6565  0.0007  0.4922 (multiplicity 2)
O  0.6695  0.1514  0.2206 (multiplicity 2)
O  0.7050  0.4123  0.2546 (multiplicity 2)
O  0.8706  0.3063  0.1208 (multiplicity 2)
O  0.8706  0.4078  0.8993 (multiplicity 2)

[3]
Structure and calculated powder diffractogram of Sn2P2O7 (DFT lattice parameters and positions (GGA-PBE); Cu Kα X-rays).
Kinematic intensities with the Lorentz-polarization factor, no thermal factor.

Largest 10 diffraction maxima, low angle first, 2θ = 10–90°:
2θ 20.37, intensity 17; 2θ 22.36, intensity 19; 2θ 24.52, intensity 14; 2θ 25.05, intensity 100; 2θ 27.74, intensity 31; 2θ 28.29, intensity 37; 2θ 36.69, intensity 11; 2θ 38.15, intensity 20; 2θ 46.53, intensity 12; 2θ 51.41, intensity 11

Atomic structure:
a = 5.4099 Å, b = 9.7968 Å, c = 7.5671 Å
α = 90.00°, β = 115.84°, γ = 90.00°
Space group P2_1/c (No. 14)
One atom of each set of equivalent atoms:
Sn  0.1522  0.1191  0.3591 (multiplicity 4)
P  0.3916  0.6073  0.6095 (multiplicity 4)
O  0.1027  0.6508  0.4646 (multiplicity 4)
O  0.3987  0.5342  0.7920 (multiplicity 4)
O  0.4016  0.2247  0.8196 (multiplicity 4)
O  0.5000  0.0000  0.0000 (multiplicity 2)

[4]
Structure and calculated powder diffractogram of Sn3P3O13 (DFT lattice parameters and positions (GGA-PBE); Cu Kα X-rays).
Kinematic intensities with the Lorentz-polarization factor, no thermal factor.

Largest 10 diffraction maxima, low angle first, 2θ = 10–90°:
2θ 13.30, intensity 45; 2θ 15.60, intensity 78; 2θ 18.76, intensity 100; 2θ 18.89, intensity 42; 2θ 25.38, intensity 62; 2θ 26.90, intensity 29; 2θ 28.08, intensity 87; 2θ 30.82, intensity 46; 2θ 31.80, intensity 36; 2θ 36.52, intensity 33

Atomic structure:
a = 7.7305 Å, b = 6.6294 Å, c = 11.0816 Å
α = 90.00°, β = 96.33°, γ = 90.00°
Space group P2_1/m (No. 11)
One atom of each set of equivalent atoms:
Sn  0.0000  0.0000  0.0000 (multiplicity 2)
Sn  0.2251  0.2500  0.5454 (multiplicity 2)
Sn  0.3599  0.7500  0.2017 (multiplicity 2)
P  0.2122  0.7500  0.4784 (multiplicity 2)
P  0.2433  0.2500  0.2269 (multiplicity 2)
P  0.3075  0.2500  0.8774 (multiplicity 2)
O  0.0285  0.7500  0.4057 (multiplicity 2)
O  0.0796  0.2500  0.1197 (multiplicity 2)
O  0.1257  0.7500  0.0897 (multiplicity 2)
O  0.1633  0.2500  0.3462 (multiplicity 2)
O  0.2067  0.0561  0.9033 (multiplicity 4)
O  0.2457  0.5665  0.5635 (multiplicity 4)
O  0.3489  0.7500  0.3837 (multiplicity 2)
O  0.3498  0.0621  0.2026 (multiplicity 4)
O  0.3534  0.2500  0.7412 (multiplicity 2)
O  0.4952  0.2500  0.9450 (multiplicity 2)

[5]
Structure and calculated powder diffractogram of SnP2O7 (DFT lattice parameters and positions (GGA-PBE); Cu Kα X-rays).
Kinematic intensities with the Lorentz-polarization factor, no thermal factor.

Largest 10 diffraction maxima, low angle first, 2θ = 10–90°:
2θ 18.41, intensity 56; 2θ 21.29, intensity 100; 2θ 23.83, intensity 25; 2θ 26.15, intensity 29; 2θ 30.28, intensity 42; 2θ 35.67, intensity 50; 2θ 47.47, intensity 16; 2θ 48.79, intensity 35; 2θ 53.80, intensity 30; 2θ 57.35, intensity 31

Atomic structure:
a = 8.3481 Å, b = 8.3481 Å, c = 8.3481 Å
α = 90.00°, β = 90.00°, γ = 90.00°
Space group Pa-3 (No. 205)
One atom of each set of equivalent atoms:
Sn  0.0000  0.0000  0.0000 (multiplicity 4)
P  0.1100  0.6100  0.8900 (multiplicity 8)
O  0.0000  0.0000  0.5000 (multiplicity 4)
O  0.0519  0.7186  0.4059 (multiplicity 24)

[6]
Structure and calculated powder diffractogram of Sn2P3O10 (DFT lattice parameters and positions (GGA-PBE); Cu Kα X-rays).
Kinematic intensities with the Lorentz-polarization factor, no thermal factor.

Largest 10 diffraction maxima, low angle first, 2θ = 10–90°:
2θ 16.85, intensity 22; 2θ 18.50, intensity 86; 2θ 18.55, intensity 100; 2θ 29.13, intensity 35; 2θ 30.43, intensity 33; 2θ 31.73, intensity 17; 2θ 33.35, intensity 13; 2θ 37.60, intensity 25; 2θ 41.22, intensity 10; 2θ 48.42, intensity 13

Atomic structure:
a = 11.2804 Å, b = 10.5265 Å, c = 10.7513 Å
α = 90.00°, β = 121.53°, γ = 90.00°
Space group C2/c (No. 15)
One atom of each set of equivalent atoms:
Sn  0.1616  0.0258  0.0993 (multiplicity 8)
P  0.0000  0.4412  0.2500 (multiplicity 4)
P  0.1652  0.2812  0.1688 (multiplicity 8)
O  0.0244  0.3494  0.1478 (multiplicity 8)
O  0.1267  0.2318  0.0187 (multiplicity 8)
O  0.1286  0.4805  0.8487 (multiplicity 8)
O  0.1928  0.1606  0.2646 (multiplicity 8)
O  0.2205  0.1181  0.7648 (multiplicity 8)